For CuNi6H8, a structure optimized by DFT (GGA-PBE) gives the theoretical X-ray powder pattern in this record (CuKα).

Structure:
```
data_CuNi6H8
_cell_length_a 6.6629
_cell_length_b 6.6629
_cell_length_c 2.7161
_cell_angle_alpha 90.00
_cell_angle_beta 90.00
_cell_angle_gamma 120.00
_symmetry_space_group_name_H-M 'P -3'
_symmetry_Int_Tables_number 147
loop_
_symmetry_equiv_pos_as_xyz
'x,y,z'
'-x,-y,-z'
'-y,x-y,z'
'y,-x+y,-z'
'-x+y,-x,z'
'x-y,x,-z'
loop_
_atom_site_label
_atom_site_type_symbol
_atom_site_fract_x
_atom_site_fract_y
_atom_site_fract_z
Cu1 Cu 0.0000 0.0000 0.0000
Ni1 Ni 0.1164 0.7068 0.2485
H1 H 0.0417 0.4024 0.2535
H2 H 0.3333 0.6667 0.0998
```

Most intense lines, 2θ from 15° to 90°, in order of rising 2θ:
hkl  2θ (°)  I (rel.)
0 1 1  36.6  38.3
2 1 0  41.4  100.0
1 1 1  43.0  47.5
0 2 1  45.9  28.2
3 -1 1  53.9  16.1
4 -1 1  68.0  15.6
3 2 1  80.8  13.5
2 1 2  83.9  14.0